1.
This entry pairs a crystal structure of Hf2Mo4C3S3 with its simulated powder diffractogram. Radiation: Cu Kα. Structure: a DFT-relaxed cell (PBE, OQMD).

Peak list (10 most intense, 15 to 90 degrees two-theta, by intensity)
Position (°2θ)  I (rel.)
39.22  100
31.57  28
32.50  27
56.23  26
70.69  17
15.06  13
30.38  12
46.29  10
64.44  10
57.11  10

Structure:
a b c (Å): 5.668 5.668 12.219
angles (deg): 103.48 103.48 59.99
Positions (direct):
Hf (0.034, 0.868, 0.606)
Hf (0.132, 0.966, 0.894)
Hf (0.868, 0.034, 0.106)
Hf (0.966, 0.132, 0.394)
Mo (0.196, 0.366, 0.089)
Mo (0.305, 0.468, 0.413)
Mo (0.366, 0.196, 0.589)
Mo (0.468, 0.305, 0.913)
Mo (0.532, 0.695, 0.087)
Mo (0.634, 0.804, 0.411)
Mo (0.695, 0.532, 0.587)
Mo (0.804, 0.634, 0.911)
C (0.000, 0.500, 0.500)
C (0.167, 0.666, 0.000)
C (0.334, 0.833, 0.500)
C (0.500, 0.000, 0.000)
C (0.666, 0.167, 0.500)
C (0.833, 0.334, 0.000)
S (0.083, 0.271, 0.751)
S (0.271, 0.083, 0.251)
S (0.437, 0.563, 0.750)
S (0.563, 0.437, 0.250)
S (0.729, 0.917, 0.749)
S (0.917, 0.729, 0.249)

2.
This entry pairs a crystal structure of Rb3AuO4 with its simulated powder diffractogram. Radiation: Cu Kα. Structure: a DFT-relaxed cell (PBE, OQMD).

Peak list (10 most intense, 15 to 90 degrees two-theta, by intensity)
Position (°2θ)  I (rel.)
26.59  100
44.12  45
52.26  45
30.80  39
15.26  21
70.73  19
72.85  16
21.65  15
87.25  15
81.15  14

Structure:
a b c (Å): 8.211 8.211 8.211
angles (deg): 60.00 60.00 60.00
Positions (direct):
Rb (0.000, 0.000, 0.500)
Rb (0.000, 0.500, 0.000)
Rb (0.000, 0.500, 0.500)
Rb (0.500, 0.000, 0.000)
Rb (0.500, 0.000, 0.500)
Rb (0.500, 0.500, 0.000)
Au (0.000, 0.000, 0.000)
Au (0.500, 0.500, 0.500)
O (0.102, 0.102, 0.102)
O (0.102, 0.102, 0.693)
O (0.102, 0.693, 0.102)
O (0.307, 0.898, 0.898)
O (0.693, 0.102, 0.102)
O (0.898, 0.307, 0.898)
O (0.898, 0.898, 0.307)
O (0.898, 0.898, 0.898)

3.
This entry pairs a crystal structure of InTcO3 with its simulated powder diffractogram. Radiation: Cu Kα. Structure: a DFT-relaxed cell (PBE, OQMD).

Peak list (10 most intense, 15 to 90 degrees two-theta, by intensity)
Position (°2θ)  I (rel.)
32.27  100
32.15  99
46.20  60
57.37  59
57.63  19
67.54  18
67.25  17
76.78  16
76.57  16
85.48  9

Structure:
a b c (Å): 5.548 5.548 5.548
angles (deg): 60.25 60.25 60.25
Positions (direct):
In (0.250, 0.250, 0.250)
In (0.750, 0.750, 0.750)
Tc (0.000, 0.000, 0.000)
Tc (0.500, 0.500, 0.500)
O (0.213, 0.750, 0.287)
O (0.250, 0.713, 0.787)
O (0.287, 0.213, 0.750)
O (0.713, 0.787, 0.250)
O (0.750, 0.287, 0.213)
O (0.787, 0.250, 0.713)

4.
This entry pairs a crystal structure of ScAgPbS3 with its simulated powder diffractogram. Radiation: Cu Kα. Structure: a DFT-relaxed cell (PBE, OQMD).

Peak list (10 most intense, 15 to 90 degrees two-theta, by intensity)
Position (°2θ)  I (rel.)
23.58  100
32.90  63
32.01  52
28.49  51
26.42  48
31.39  48
45.51  44
27.73  42
35.48  37
24.37  37

Structure:
a b c (Å): 11.892 3.825 12.288
angles (deg): 90.00 90.00 90.00
Positions (direct):
Sc (0.024, 0.250, 0.145)
Sc (0.476, 0.750, 0.645)
Sc (0.524, 0.250, 0.355)
Sc (0.976, 0.750, 0.855)
Ag (0.218, 0.750, 0.358)
Ag (0.282, 0.250, 0.858)
Ag (0.718, 0.750, 0.142)
Ag (0.782, 0.250, 0.642)
Pb (0.159, 0.250, 0.564)
Pb (0.341, 0.750, 0.064)
Pb (0.659, 0.250, 0.936)
Pb (0.841, 0.750, 0.436)
S (0.022, 0.750, 0.295)
S (0.097, 0.250, 0.943)
S (0.239, 0.250, 0.187)
S (0.261, 0.750, 0.687)
S (0.403, 0.750, 0.443)
S (0.478, 0.250, 0.795)
S (0.522, 0.750, 0.205)
S (0.597, 0.250, 0.557)
S (0.739, 0.250, 0.313)
S (0.761, 0.750, 0.813)
S (0.903, 0.750, 0.057)
S (0.978, 0.250, 0.705)

5.
This entry pairs a crystal structure of Y2Ho3Lu2Ni2Te2 with its simulated powder diffractogram. Radiation: Cu Kα. Structure: a DFT-relaxed cell (PBE, OQMD).

Peak list (10 most intense, 15 to 90 degrees two-theta, by intensity)
Position (°2θ)  I (rel.)
34.17  100
34.66  92
33.10  81
30.46  49
47.35  34
58.99  31
30.27  30
25.01  25
38.58  23
36.73  22

Structure:
a b c (Å): 9.308 9.308 9.308
angles (deg): 156.20 66.96 118.45
Positions (direct):
Y (0.147, 0.000, 0.147)
Y (0.853, 0.000, 0.853)
Ho (0.232, 0.732, 0.500)
Ho (0.517, 0.149, 0.368)
Ho (0.782, 0.149, 0.632)
Lu (0.166, 0.351, 0.815)
Lu (0.536, 0.351, 0.185)
Ni (0.399, 0.661, 0.738)
Ni (0.922, 0.661, 0.262)
Te (0.495, 0.495, 0.000)
Te (0.896, 0.396, 0.500)

6.
This entry pairs a crystal structure of KZnNiTe3 with its simulated powder diffractogram. Radiation: Cu Kα. Structure: a DFT-relaxed cell (PBE, OQMD).

Peak list (10 most intense, 15 to 90 degrees two-theta, by intensity)
Position (°2θ)  I (rel.)
32.67  100
29.40  80
40.63  64
44.77  45
50.63  42
28.01  37
28.62  33
56.48  25
27.07  24
28.23  23

Structure:
a b c (Å): 7.850 7.850 10.972
angles (deg): 90.00 90.00 150.10
Positions (direct):
K (0.241, 0.759, 0.750)
K (0.759, 0.241, 0.250)
Zn (0.456, 0.544, 0.250)
Zn (0.544, 0.456, 0.750)
Ni (0.000, 0.000, 0.000)
Ni (0.000, 0.000, 0.500)
Te (0.066, 0.934, 0.250)
Te (0.387, 0.613, 0.028)
Te (0.387, 0.613, 0.472)
Te (0.613, 0.387, 0.528)
Te (0.613, 0.387, 0.972)
Te (0.934, 0.066, 0.750)

7.
This entry pairs a crystal structure of Zr4FeCoP2 with its simulated powder diffractogram. Radiation: Cu Kα. Structure: a DFT-relaxed cell (PBE, OQMD).

Peak list (10 most intense, 15 to 90 degrees two-theta, by intensity)
Position (°2θ)  I (rel.)
35.57  100
36.57  47
44.45  43
30.50  26
36.36  24
44.26  24
48.72  21
49.97  20
63.50  18
72.37  12

Structure:
a b c (Å): 5.268 3.650 7.434
angles (deg): 90.00 110.26 90.00
Positions (direct):
Zr (0.000, 0.000, 0.000)
Zr (0.066, 0.500, 0.643)
Zr (0.519, 0.000, 0.516)
Zr (0.589, 0.500, 0.165)
Fe (0.933, 0.000, 0.369)
Co (0.649, 0.500, 0.795)
P (0.153, 0.500, 0.292)
P (0.436, 0.000, 0.869)

8.
This entry pairs a crystal structure of CuTePbF with its simulated powder diffractogram. Radiation: Cu Kα. Structure: a DFT-relaxed cell (PBE, OQMD).

Peak list (10 most intense, 15 to 90 degrees two-theta, by intensity)
Position (°2θ)  I (rel.)
31.86  100
31.76  74
27.02  67
30.11  65
46.88  53
28.80  40
21.96  30
29.53  28
48.76  24
48.95  24

Structure:
a b c (Å): 6.756 6.796 7.560
angles (deg): 90.00 90.00 90.00
Positions (direct):
Cu (0.145, 0.098, 0.369)
Cu (0.355, 0.902, 0.869)
Cu (0.645, 0.402, 0.631)
Cu (0.855, 0.598, 0.131)
Te (0.124, 0.858, 0.123)
Te (0.376, 0.142, 0.623)
Te (0.624, 0.642, 0.877)
Te (0.876, 0.358, 0.377)
Pb (0.145, 0.597, 0.649)
Pb (0.355, 0.403, 0.149)
Pb (0.645, 0.903, 0.351)
Pb (0.855, 0.097, 0.851)
F (0.086, 0.381, 0.925)
F (0.414, 0.619, 0.425)
F (0.586, 0.119, 0.075)
F (0.914, 0.881, 0.575)

9.
This entry pairs a crystal structure of Li2Cd3Hg with its simulated powder diffractogram. Radiation: Cu Kα. Structure: a DFT-relaxed cell (PBE, OQMD).

Peak list (10 most intense, 15 to 90 degrees two-theta, by intensity)
Position (°2θ)  I (rel.)
38.51  100
27.47  74
36.81  59
67.43  37
18.62  24
53.04  20
53.76  18
60.76  16
70.77  14
41.56  13

Structure:
a b c (Å): 3.453 3.453 9.529
angles (deg): 90.00 90.00 90.00
Positions (direct):
Li (0.000, 0.000, 0.000)
Li (0.500, 0.500, 0.494)
Cd (0.000, 0.000, 0.338)
Cd (0.000, 0.000, 0.653)
Cd (0.500, 0.500, 0.835)
Hg (0.500, 0.500, 0.148)

10.
This entry pairs a crystal structure of Pr2GdMg3Tl2Hg with its simulated powder diffractogram. Radiation: Cu Kα. Structure: a DFT-relaxed cell (PBE, OQMD).

Peak list (10 most intense, 15 to 90 degrees two-theta, by intensity)
Position (°2θ)  I (rel.)
32.91  100
23.22  67
30.08  62
23.08  59
33.10  56
40.55  54
38.22  42
29.92  27
56.97  25
40.71  22

Structure:
a b c (Å): 4.710 7.658 7.658
angles (deg): 119.44 90.00 90.00
Positions (direct):
Pr (0.000, 0.208, 0.792)
Pr (0.000, 0.792, 0.208)
Gd (0.000, 0.625, 0.625)
Mg (0.500, 0.210, 0.448)
Mg (0.500, 0.448, 0.210)
Mg (0.500, 0.973, 0.973)
Tl (0.500, 0.544, 0.871)
Tl (0.500, 0.871, 0.544)
Hg (0.000, 0.217, 0.217)